Entry 1:
Computed powder diffractogram of K2MnSiTe4 for Cu Kα (weighted mean of Kα1 and Kα2), from a PBE-relaxed structure.

```
K2MnSiTe4
1.0
-4.428 4.443 6.196
4.428 -4.443 6.196
4.428 4.443 -6.196
K Mn Si Te
4 2 2 8
Direct
0.000 0.000 0.000 K
0.500 0.000 0.000 K
0.500 0.000 0.500 K
0.500 0.500 0.500 K
0.000 0.500 0.500 Mn
0.500 0.500 0.000 Mn
0.000 0.000 0.500 Si
0.000 0.500 0.000 Si
0.187 0.724 0.464 Te
0.231 0.273 0.542 Te
0.231 0.689 0.958 Te
0.240 0.276 0.964 Te
0.760 0.724 0.036 Te
0.769 0.311 0.042 Te
0.769 0.727 0.458 Te
0.813 0.276 0.536 Te
```

Main lines, by intensity (10° ≤ 2θ ≤ 90°):
d_spacing, I (rel.)
3.137, 1000
3.607, 595
2.204, 568
3.098, 453
7.210, 385
2.413, 211

Entry 2:
Computed powder diffractogram of Tb4DyY4 for Cu Kα (weighted mean of Kα1 and Kα2), from a PBE-relaxed structure.

```
Tb4DyY4
1.0
-5.348 5.348 2.516
5.348 -5.348 2.516
5.348 5.348 -2.516
Tb Dy Y
4 1 4
Direct
0.000 0.334 0.334 Tb
0.000 0.666 0.666 Tb
0.334 0.000 0.334 Tb
0.666 0.000 0.666 Tb
0.000 0.000 0.000 Dy
0.334 0.334 0.667 Y
0.334 0.666 0.000 Y
0.666 0.334 0.000 Y
0.666 0.666 0.333 Y
```

Main lines, by intensity (10° ≤ 2θ ≤ 90°):
d_spacing, I (rel.)
2.909, 1000
2.520, 504
1.519, 420
1.782, 355
1.156, 172
1.455, 121

Entry 3:
Computed powder diffractogram of DyTl2TeO6 for Cu Kα (weighted mean of Kα1 and Kα2), from a PBE-relaxed structure.

```
DyTl2TeO6
1.0
0.000 4.200 4.200
4.200 0.000 4.200
4.200 4.200 0.000
Dy Tl Te O
1 2 1 6
Direct
0.000 0.000 0.000 Dy
0.250 0.250 0.250 Tl
0.750 0.750 0.750 Tl
0.500 0.500 0.500 Te
0.268 0.268 0.732 O
0.268 0.732 0.268 O
0.268 0.732 0.732 O
0.732 0.268 0.268 O
0.732 0.268 0.732 O
0.732 0.732 0.268 O
```

Main lines, by intensity (10° ≤ 2θ ≤ 90°):
d_spacing, I (rel.)
2.970, 1000
1.715, 412
2.100, 269
1.123, 222
1.328, 183
1.485, 171